This entry pairs a crystal structure of Mg3ScCd3 with its computed powder X-ray diffraction pattern. Radiation: copper Kα. Structure: DFT lattice parameters and positions (GGA-PBE).

The 10 most intense peaks (2θ from 5° to 70°), by angle:
Position (°2θ), Rel. int.
17.9, 17
25.4, 100
31.3, 15
33.0, 90
34.7, 28
37.8, 54
39.3, 52
43.5, 39
47.4, 22
64.2, 22

Cell and atoms:
Cell: 8.5784 8.5784 8.5784 Å, 90.00 90.00 90.00°
Atoms (fractional coordinates):
Mg  0.1300  0.3700  0.6300
Mg  0.1662  0.8338  0.3338
Mg  0.1832  0.1832  0.1832
Mg  0.3168  0.8168  0.6832
Mg  0.3338  0.1662  0.8338
Mg  0.3700  0.6300  0.1300
Mg  0.6300  0.1300  0.3700
Mg  0.6662  0.6662  0.6662
Mg  0.6832  0.3168  0.8168
Mg  0.8168  0.6832  0.3168
Mg  0.8338  0.3338  0.1662
Mg  0.8700  0.8700  0.8700
Sc  0.0445  0.5445  0.9555
Sc  0.4555  0.4555  0.4555
Sc  0.5445  0.9555  0.0445
Sc  0.9555  0.0445  0.5445
Cd  0.0096  0.6895  0.6136
Cd  0.1136  0.4904  0.3105
Cd  0.1895  0.8864  0.9904
Cd  0.3105  0.1136  0.4904
Cd  0.3864  0.5096  0.8105
Cd  0.4904  0.3105  0.1136
Cd  0.5096  0.8105  0.3864
Cd  0.6136  0.0096  0.6895
Cd  0.6895  0.6136  0.0096
Cd  0.8105  0.3864  0.5096
Cd  0.8864  0.9904  0.1895
Cd  0.9904  0.1895  0.8864

This entry pairs a crystal structure of Mg2Sc4Cd with its computed powder X-ray diffraction pattern. Radiation: copper Kα. Structure: DFT lattice parameters and positions (GGA-PBE).

The 10 most intense peaks (2θ from 5° to 70°), by angle:
Position (°2θ), Rel. int.
14.8, 40
24.3, 43
35.7, 100
36.2, 43
37.7, 22
39.0, 22
54.3, 10
55.4, 13
66.8, 11
68.5, 13

Cell and atoms:
Cell: 7.7092 9.5429 4.6199 Å, 90.00 90.00 90.00°
Atoms (fractional coordinates):
Mg  0.0000  0.2161  0.0000
Mg  0.0000  0.7839  0.0000
Mg  0.5000  0.2839  0.0000
Mg  0.5000  0.7161  0.0000
Sc  0.2040  0.5000  0.0000
Sc  0.2500  0.2500  0.5000
Sc  0.2500  0.7500  0.5000
Sc  0.2960  0.0000  0.0000
Sc  0.7040  0.0000  0.0000
Sc  0.7500  0.2500  0.5000
Sc  0.7500  0.7500  0.5000
Sc  0.7960  0.5000  0.0000
Cd  0.0000  0.0000  0.5000
Cd  0.5000  0.5000  0.5000

This entry pairs a crystal structure of MgScCd5 with its computed powder X-ray diffraction pattern. Radiation: copper Kα. Structure: DFT lattice parameters and positions (GGA-PBE).

The 10 most intense peaks (2θ from 5° to 70°), by angle:
Position (°2θ), Rel. int.
18.0, 23
20.9, 33
27.5, 16
34.8, 100
36.4, 90
40.8, 64
42.5, 29
46.2, 18
60.3, 38
69.3, 23

Cell and atoms:
Cell: 6.0577 8.5093 6.4871 Å, 90.00 90.00 90.00°
Atoms (fractional coordinates):
Mg  0.0000  0.0000  0.0000
Mg  0.5000  0.5000  0.0000
Sc  0.0000  0.5000  0.5000
Sc  0.5000  0.0000  0.5000
Cd  0.0000  0.5000  0.0000
Cd  0.2500  0.2500  0.2624
Cd  0.2500  0.2500  0.7376
Cd  0.2500  0.7500  0.2624
Cd  0.2500  0.7500  0.7376
Cd  0.5000  0.0000  0.0000
Cd  0.7500  0.2500  0.2624
Cd  0.7500  0.2500  0.7376
Cd  0.7500  0.7500  0.2624
Cd  0.7500  0.7500  0.7376

This entry pairs a crystal structure of Mg3Sc2Cd2 with its computed powder X-ray diffraction pattern. Radiation: copper Kα. Structure: DFT lattice parameters and positions (GGA-PBE).

The 10 most intense peaks (2θ from 5° to 70°), by angle:
Position (°2θ), Rel. int.
21.0, 100
24.5, 28
34.7, 51
35.5, 50
36.0, 95
36.2, 92
50.5, 33
64.1, 17
64.2, 16
65.8, 17

Cell and atoms:
Cell: 8.5509 5.0553 7.9619 Å, 90.00 114.27 90.00°
Atoms (fractional coordinates):
Mg  0.0000  0.0000  0.0000
Mg  0.1444  0.0000  0.4147
Mg  0.3556  0.5000  0.5853
Mg  0.5000  0.5000  0.0000
Mg  0.6444  0.5000  0.4147
Mg  0.8556  0.0000  0.5853
Sc  0.2160  0.5000  0.1394
Sc  0.2840  0.0000  0.8606
Sc  0.7160  0.0000  0.1394
Sc  0.7840  0.5000  0.8606
Cd  0.0660  0.5000  0.7234
Cd  0.4340  0.0000  0.2766
Cd  0.5660  0.0000  0.7234
Cd  0.9340  0.5000  0.2766

This entry pairs a crystal structure of MgSc2Cd4 with its computed powder X-ray diffraction pattern. Radiation: copper Kα. Structure: DFT lattice parameters and positions (GGA-PBE).

The 10 most intense peaks (2θ from 5° to 70°), by angle:
Position (°2θ), Rel. int.
12.3, 11
26.4, 19
35.8, 100
38.1, 5
44.1, 4
45.1, 4
51.3, 5
51.6, 16
58.9, 4
64.4, 30

Cell and atoms:
Cell: 7.7293 7.7293 7.7293 Å, 37.82 37.82 37.82°
Atoms (fractional coordinates):
Mg  0.0000  0.0000  0.0000
Sc  0.2812  0.2812  0.2812
Sc  0.7188  0.7188  0.7188
Cd  0.1359  0.1359  0.1359
Cd  0.4196  0.4196  0.4196
Cd  0.5804  0.5804  0.5804
Cd  0.8641  0.8641  0.8641

This entry pairs a crystal structure of Mg5ScCd3 with its computed powder X-ray diffraction pattern. Radiation: copper Kα. Structure: DFT lattice parameters and positions (GGA-PBE).

The 10 most intense peaks (2θ from 5° to 70°), by angle:
Position (°2θ), Rel. int.
20.6, 19
25.2, 100
29.0, 23
35.8, 71
36.0, 98
44.5, 21
46.9, 36
51.7, 23
58.5, 17
64.6, 23

Cell and atoms:
Cell: 8.6369 8.6369 6.1508 Å, 90.00 90.00 120.00°
Atoms (fractional coordinates):
Mg  0.0000  0.3397  0.2500
Mg  0.0000  0.6603  0.7500
Mg  0.3333  0.6667  0.0000
Mg  0.3333  0.6667  0.5000
Mg  0.3397  0.0000  0.2500
Mg  0.3397  0.3397  0.7500
Mg  0.6603  0.0000  0.7500
Mg  0.6603  0.6603  0.2500
Mg  0.6667  0.3333  0.0000
Mg  0.6667  0.3333  0.5000
Sc  0.0000  0.0000  0.0000
Sc  0.0000  0.0000  0.5000
Cd  0.0000  0.3242  0.7500
Cd  0.0000  0.6758  0.2500
Cd  0.3242  0.0000  0.7500
Cd  0.3242  0.3242  0.2500
Cd  0.6758  0.0000  0.2500
Cd  0.6758  0.6758  0.7500

This entry pairs a crystal structure of MgScCd with its computed powder X-ray diffraction pattern. Radiation: copper Kα. Structure: DFT lattice parameters and positions (GGA-PBE).

The 10 most intense peaks (2θ from 5° to 70°), by angle:
Position (°2θ), Rel. int.
19.5, 40
21.3, 63
30.2, 27
34.5, 100
35.2, 94
38.4, 37
39.9, 26
41.4, 59
49.6, 13
57.8, 42

Cell and atoms:
Cell: 3.1281 4.6841 9.1194 Å, 90.00 90.00 90.00°
Atoms (fractional coordinates):
Mg  0.0000  0.0000  0.0000
Mg  0.5000  0.5000  0.5000
Sc  0.0000  0.0000  0.6667
Sc  0.5000  0.5000  0.1667
Cd  0.0000  0.0000  0.3304
Cd  0.5000  0.5000  0.8304

This entry pairs a crystal structure of MgSc5Cd with its computed powder X-ray diffraction pattern. Radiation: copper Kα. Structure: DFT lattice parameters and positions (GGA-PBE).

The 10 most intense peaks (2θ from 5° to 70°), by angle:
Position (°2θ), Rel. int.
15.9, 65
17.2, 25
26.2, 26
32.2, 55
33.7, 56
35.4, 26
35.6, 64
36.2, 100
36.7, 38
40.4, 25

Cell and atoms:
Cell: 5.7590 5.7590 10.8992 Å, 102.25 102.25 96.04°
Atoms (fractional coordinates):
Mg  0.0000  0.0000  0.0000
Mg  0.0000  0.0000  0.5000
Sc  0.0006  0.4121  0.8426
Sc  0.1294  0.8706  0.7500
Sc  0.2407  0.5303  0.4672
Sc  0.4121  0.0006  0.3426
Sc  0.4697  0.7593  0.0328
Sc  0.5303  0.2407  0.9672
Sc  0.5879  0.9994  0.6574
Sc  0.7593  0.4697  0.5328
Sc  0.8706  0.1294  0.2500
Sc  0.9994  0.5879  0.1574
Cd  0.4825  0.5175  0.7500
Cd  0.5175  0.4825  0.2500

This entry pairs a crystal structure of MgSc6Cd with its computed powder X-ray diffraction pattern. Radiation: copper Kα. Structure: DFT lattice parameters and positions (GGA-PBE).

The 10 most intense peaks (2θ from 5° to 70°), by angle:
Position (°2θ), Rel. int.
9.7, 24
21.9, 15
29.5, 6
34.2, 100
39.4, 16
39.8, 32
57.2, 20
57.5, 10
68.1, 11
68.6, 22

Cell and atoms:
Cell: 4.5352 4.5352 9.1436 Å, 90.00 90.00 90.00°
Atoms (fractional coordinates):
Mg  0.0000  0.0000  0.0000
Sc  0.0000  0.5000  0.2543
Sc  0.0000  0.5000  0.7457
Sc  0.5000  0.0000  0.2543
Sc  0.5000  0.0000  0.7457
Sc  0.5000  0.5000  0.0000
Sc  0.5000  0.5000  0.5000
Cd  0.0000  0.0000  0.5000

This entry pairs a crystal structure of Mg2Sc3Cd8 with its computed powder X-ray diffraction pattern. Radiation: copper Kα. Structure: DFT lattice parameters and positions (GGA-PBE).

The 10 most intense peaks (2θ from 5° to 70°), by angle:
Position (°2θ), Rel. int.
8.1, 38
16.2, 54
24.3, 22
26.2, 44
35.0, 54
36.8, 100
38.0, 62
40.0, 57
58.2, 23
65.4, 26

Cell and atoms:
Cell: 11.4603 11.4603 11.4603 Å, 28.84 28.84 28.84°
Atoms (fractional coordinates):
Mg  0.1373  0.1373  0.1373
Mg  0.8627  0.8627  0.8627
Sc  0.3147  0.3147  0.3147
Sc  0.5000  0.5000  0.5000
Sc  0.6853  0.6853  0.6853
Cd  0.2210  0.2210  0.2210
Cd  0.2272  0.2272  0.7270
Cd  0.2272  0.7270  0.2272
Cd  0.2730  0.7728  0.7728
Cd  0.7270  0.2272  0.2272
Cd  0.7728  0.2730  0.7728
Cd  0.7728  0.7728  0.2730
Cd  0.7790  0.7790  0.7790

This entry pairs a crystal structure of Mg12Sc2Cd with its computed powder X-ray diffraction pattern. Radiation: copper Kα. Structure: DFT lattice parameters and positions (GGA-PBE).

The 10 most intense peaks (2θ from 5° to 70°), by angle:
Position (°2θ), Rel. int.
21.5, 39
22.8, 46
24.7, 54
27.2, 99
30.0, 36
32.7, 71
34.7, 100
37.0, 89
39.9, 51
43.0, 73

Cell and atoms:
Cell: 5.9508 5.9508 20.8285 Å, 90.00 90.00 90.00°
Atoms (fractional coordinates):
Mg  0.0070  0.5070  0.1006
Mg  0.0070  0.9930  0.8994
Mg  0.0769  0.5769  0.4351
Mg  0.0769  0.9231  0.5649
Mg  0.2500  0.2500  0.2039
Mg  0.2500  0.2500  0.3367
Mg  0.2500  0.2500  0.6633
Mg  0.2500  0.2500  0.7961
Mg  0.4231  0.5769  0.5649
Mg  0.4231  0.9231  0.4351
Mg  0.4930  0.5070  0.8994
Mg  0.4930  0.9930  0.1006
Mg  0.5070  0.0070  0.8994
Mg  0.5070  0.4930  0.1006
Mg  0.5769  0.0769  0.5649
Mg  0.5769  0.4231  0.4351
Mg  0.7500  0.7500  0.2039
Mg  0.7500  0.7500  0.3367
Mg  0.7500  0.7500  0.6633
Mg  0.7500  0.7500  0.7961
Mg  0.9231  0.0769  0.4351
Mg  0.9231  0.4231  0.5649
Mg  0.9930  0.0070  0.1006
Mg  0.9930  0.4930  0.8994
Sc  0.2500  0.7500  0.2717
Sc  0.2500  0.7500  0.7283
Sc  0.7500  0.2500  0.2717
Sc  0.7500  0.2500  0.7283
Cd  0.2500  0.7500  0.0000
Cd  0.7500  0.2500  0.0000

This entry pairs a crystal structure of SrMgScCd with its computed powder X-ray diffraction pattern. Radiation: copper Kα. Structure: DFT lattice parameters and positions (GGA-PBE).

The 8 most intense peaks (2θ from 5° to 70°), by angle:
Position (°2θ), Rel. int.
20.1, 30
33.1, 100
39.0, 17
47.5, 17
52.1, 7
59.1, 35
63.1, 5
69.5, 11

Cell and atoms:
Cell: 7.6549 7.6549 7.6549 Å, 90.00 90.00 90.00°
Atoms (fractional coordinates):
Sr  0.0000  0.0000  0.0000
Sr  0.0000  0.5000  0.5000
Sr  0.5000  0.0000  0.5000
Sr  0.5000  0.5000  0.0000
Mg  0.2500  0.2500  0.7500
Mg  0.2500  0.7500  0.2500
Mg  0.7500  0.2500  0.2500
Mg  0.7500  0.7500  0.7500
Sc  0.0000  0.0000  0.5000
Sc  0.0000  0.5000  0.0000
Sc  0.5000  0.0000  0.0000
Sc  0.5000  0.5000  0.5000
Cd  0.2500  0.2500  0.2500
Cd  0.2500  0.7500  0.7500
Cd  0.7500  0.2500  0.7500
Cd  0.7500  0.7500  0.2500